No. 1
Starting from a cell relaxed with PBE, the XRD peak list of KNaGdTaO5 was computed for copper Kα.
Intensities are scaled so that the largest is 100.

Cell and atoms:
abc: 5.7192 5.7192 8.3443
angles: 90.00 90.00 90.00
Fractional coordinates of all 18 atoms:
K1 0.2500 0.7500 0.0000
K2 0.7500 0.2500 0.0000
Na1 0.2500 0.2500 0.2412
Na2 0.7500 0.7500 0.7588
Gd1 0.2500 0.7500 0.5000
Gd2 0.7500 0.2500 0.5000
Ta1 0.2500 0.2500 0.7376
Ta2 0.7500 0.7500 0.2624
O1 0.0182 0.0182 0.6660
O2 0.0182 0.4818 0.6660
O3 0.2500 0.2500 0.9615
O4 0.4818 0.0182 0.6660
O5 0.4818 0.4818 0.6660
O6 0.5182 0.5182 0.3340
O7 0.5182 0.9818 0.3340
O8 0.7500 0.7500 0.0385
O9 0.9818 0.5182 0.3340
O10 0.9818 0.9818 0.3340

Most intense lines, 15° ≤ 2θ ≤ 90°, in order of rising 2θ:
2θ/deg  I/Imax
18.81  61
24.46  17
30.79  100
31.28  40
36.75  19
39.31  10
44.82  27
54.44  25
55.37  38
64.14  11
88.74  10
90.00  12

No. 2
Starting from a cell relaxed with PBE, the XRD peak list of KGdNb4O12 was computed for copper Kα.
Intensities are scaled so that the largest is 100.

Cell and atoms:
abc: 7.9554 5.6218 5.6218
angles: 88.51 90.00 90.00
Fractional coordinates of all 18 atoms:
K1 0.0000 0.0000 0.0000
Gd1 0.5000 0.5486 0.5486
Nb1 0.2482 0.0149 0.5054
Nb2 0.2482 0.5054 0.0149
Nb3 0.7518 0.0149 0.5054
Nb4 0.7518 0.5054 0.0149
O1 0.0000 0.0594 0.4934
O2 0.0000 0.4934 0.0594
O3 0.2315 0.7451 0.7451
O4 0.2615 0.2528 0.8011
O5 0.2615 0.8011 0.2528
O6 0.3040 0.3229 0.3229
O7 0.5000 0.5543 0.9665
O8 0.5000 0.9665 0.5543
O9 0.6960 0.3229 0.3229
O10 0.7385 0.2528 0.8011
O11 0.7385 0.8011 0.2528
O12 0.7685 0.7451 0.7451

Most intense lines, 15° ≤ 2θ ≤ 90°, in order of rising 2θ:
2θ/deg  I/Imax
19.34  100
22.08  36
22.35  29
31.62  87
31.85  92
32.04  99
45.03  32
45.61  36
46.28  33
56.33  35
56.70  39
57.13  37

What did the second record say?
Starting from a cell relaxed with PBE, the XRD peak list of KGdNb4O12 was computed for copper Kα.
Intensities are scaled so that the largest is 100.

Cell and atoms:
abc: 7.9554 5.6218 5.6218
angles: 88.51 90.00 90.00
Fractional coordinates of all 18 atoms:
K1 0.0000 0.0000 0.0000
Gd1 0.5000 0.5486 0.5486
Nb1 0.2482 0.0149 0.5054
Nb2 0.2482 0.5054 0.0149
Nb3 0.7518 0.0149 0.5054
Nb4 0.7518 0.5054 0.0149
O1 0.0000 0.0594 0.4934
O2 0.0000 0.4934 0.0594
O3 0.2315 0.7451 0.7451
O4 0.2615 0.2528 0.8011
O5 0.2615 0.8011 0.2528
O6 0.3040 0.3229 0.3229
O7 0.5000 0.5543 0.9665
O8 0.5000 0.9665 0.5543
O9 0.6960 0.3229 0.3229
O10 0.7385 0.2528 0.8011
O11 0.7385 0.8011 0.2528
O12 0.7685 0.7451 0.7451

Most intense lines, 15° ≤ 2θ ≤ 90°, in order of rising 2θ:
2θ/deg  I/Imax
19.34  100
22.08  36
22.35  29
31.62  87
31.85  92
32.04  99
45.03  32
45.61  36
46.28  33
56.33  35
56.70  39
57.13  37